NaLa2GaSe5: computed powder X-ray diffraction pattern (copper Kα), based on DFT lattice parameters and positions (PBE).
Intensities are scaled so that the largest is 100.

Structure:
```
NaLa2GaSe5
1.0
2.0624 -9.2257 0.0000
2.0624 9.2257 0.0000
0.0000 0.0000 12.2505
Na La Ga Se
2 4 2 10
direct
0.2078 0.7922 0.5000
0.7922 0.2078 0.0000
0.1182 0.8818 0.1664
0.1322 0.8678 0.7944
0.8678 0.1322 0.2944
0.8818 0.1182 0.6664
0.4383 0.5617 0.9306
0.5617 0.4383 0.4306
0.0422 0.9578 0.5429
0.2895 0.7105 0.1689
0.3223 0.6777 0.8336
0.3623 0.6377 0.4863
0.4958 0.5042 0.2579
0.5042 0.4958 0.7579
0.6377 0.3623 0.9863
0.6777 0.3223 0.3336
0.7105 0.2895 0.6689
0.9578 0.0422 0.0429
```

Peak list (8 most intense, 10 to 90 degrees two-theta, sorted by position)
d/Å	Position (°2θ)	I/Imax
3.364	26.5	25
3.058	29.2	20
2.986	29.9	82
2.867	31.2	100
2.750	32.6	31
2.509	35.8	55
2.281	39.5	33
2.062	43.9	34


RbNaAl2I8: computed powder X-ray diffraction pattern (copper Kα), based on DFT lattice parameters and positions (PBE).
Intensities are scaled so that the largest is 100.

Structure:
```
RbNaAl2I8
1.0
7.5444 0.0000 0.0000
-3.7722 6.5336 0.0000
0.0000 0.0000 11.1391
Rb Na Al I
1 1 2 8
direct
0.0000 0.0000 0.0000
0.0000 0.0000 0.5000
0.3333 0.6667 0.7552
0.6667 0.3333 0.2448
0.0092 0.3410 0.6858
0.3318 0.9908 0.6858
0.3333 0.6667 0.9857
0.3410 0.3318 0.3142
0.6590 0.6682 0.6858
0.6667 0.3333 0.0143
0.6682 0.0092 0.3142
0.9908 0.6590 0.3142
```

Peak list (8 most intense, 10 to 90 degrees two-theta, sorted by position)
d/Å	Position (°2θ)	I/Imax
3.713	24.0	32
3.573	24.9	100
3.123	28.6	66
2.240	40.3	29
2.178	41.5	30
1.879	48.5	28
1.859	49.0	19
1.414	66.1	20


La5PrHoTm2: computed powder X-ray diffraction pattern (copper Kα), based on DFT lattice parameters and positions (PBE).
Intensities are scaled so that the largest is 100.

Structure:
```
La5PrHoTm2
1.0
2.7527 -10.8125 0.0000
2.7527 10.8125 0.0000
0.0000 0.0000 10.7326
La Pr Ho Tm
10 2 2 4
direct
0.0002 0.9998 0.0000
0.9998 0.0002 0.5000
0.1226 0.8774 0.7503
0.2199 0.7801 0.4416
0.2206 0.7794 0.0604
0.5003 0.4997 0.2501
0.4997 0.5003 0.7501
0.7794 0.2206 0.5604
0.7801 0.2199 0.9416
0.8774 0.1226 0.2503
0.2852 0.7148 0.7509
0.7148 0.2852 0.2509
0.0998 0.9002 0.2502
0.9002 0.0998 0.7502
0.3875 0.6125 0.5029
0.3880 0.6120 0.9974
0.6120 0.3880 0.4974
0.6125 0.3875 0.0029
```

Peak list (8 most intense, 10 to 90 degrees two-theta, sorted by position)
d/Å	Position (°2θ)	I/Imax
3.392	26.3	20
2.971	30.1	12
2.873	31.1	100
2.770	32.3	11
2.753	32.5	30
2.683	33.4	18
1.921	47.3	14
1.611	57.2	18